CsFePH12O10: computed powder X-ray diffraction pattern (Cu Kα X-rays), based on a cell relaxed with PBE+U.

Structure:
```
data_CsFePH12O10
_chemical_formula_sum 'Cs1 Fe1 P1 H12 O10'
_cell_length_a 7.1173
_cell_length_b 7.1383
_cell_length_c 7.1467
_cell_angle_alpha 89.84
_cell_angle_beta 60.35
_cell_angle_gamma 60.49
_symmetry_space_group_name_H-M 'P 1'
_symmetry_Int_Tables_number 1
_symmetry_space_group_name_Hall 'P 1'
loop_
_atom_site_label
_atom_site_fract_x
_atom_site_fract_y
_atom_site_fract_z
Cs1 0.0000 0.0000 0.0000
Fe1 0.5010 0.7552 0.2396
P1 0.0032 0.5065 0.4964
H1 0.0272 0.5042 0.8696
H2 0.0284 0.5030 0.1028
H3 0.3639 0.1302 0.5348
H4 0.3799 0.5065 0.0869
H5 0.3956 0.1482 0.1001
H6 0.4075 0.4679 0.4825
H7 0.5932 0.9008 0.5354
H8 0.6128 0.5033 0.8504
H9 0.6244 0.9155 0.8719
H10 0.6395 0.4708 0.4809
H11 0.9763 0.9016 0.4922
H12 0.9776 0.1350 0.4946
O1 0.0825 0.9667 0.4195
O2 0.1794 0.4221 0.2310
O3 0.1804 0.4164 0.5876
O4 0.4466 0.9639 0.5141
O5 0.4767 0.5793 0.0191
O6 0.5328 0.9799 0.0389
O7 0.5511 0.4940 0.4006
O8 0.8259 0.7717 0.5857
O9 0.8271 0.4137 0.5799
O10 0.9204 0.5720 0.0391
```

Most intense lines, 2θ = 10–90°, by angle:
two_theta	d_spacing	intensity	(hkl)
15.0	5.888	72	0 0 1
15.2	5.815	53	1 1 0
17.6	5.050	48	0 1 -1
24.6	3.626	52	0 1 1
24.8	3.587	99	1 1 -1
24.9	3.571	100	1 2 0
29.4	3.038	57	1 2 -1
30.4	2.944	64	0 2 0
30.7	2.908	63	2 0 2
35.6	2.525	64	2 2 2